# 1
Theoretical powder diffractogram
Compound: PuBeV
Radiation: Cu Ka
Structure: a structure optimized by DFT (PBE)

Principal peaks in the range 5 to 70 degrees two-theta, in order of rising 2θ:
- d 4.978, rel. 70
- d 3.352, rel. 93
- d 3.044, rel. 93
- d 2.905, rel. 95
- d 2.815, rel. 90
- d 2.414, rel. 33
- d 2.392, rel. 100
- d 2.195, rel. 67
- d 1.857, rel. 34
- d 1.846, rel. 86
- d 1.509, rel. 30
- d 1.423, rel. 31

Crystal structure
```
PuBeV
1.0
-1.787 2.905 4.828
1.787 -2.905 4.828
1.787 2.905 -4.828
Pu Be V
2 2 2
Cartesian
0.000 0.000 1.498
0.000 0.000 8.157
1.787 1.766 0.000
0.000 1.139 4.828
1.787 0.000 3.704
0.000 2.905 1.124
```

=====

# 2
Theoretical powder diffractogram
Compound: Y3MgPb3
Radiation: Cu Ka
Structure: a structure optimized by DFT (PBE)

Principal peaks in the range 5 to 70 degrees two-theta, in order of rising 2θ:
- d 4.666, rel. 95
- d 3.734, rel. 55
- d 3.113, rel. 62
- d 3.055, rel. 25
- d 2.694, rel. 100
- d 2.589, rel. 44
- d 2.182, rel. 33
- d 2.037, rel. 90
- d 1.556, rel. 20
- d 1.391, rel. 16
- d 1.371, rel. 15
- d 1.348, rel. 29

Crystal structure
```
Y3MgPb3
1.0
9.333 0.000 0.000
-4.666 8.082 0.000
0.000 0.000 6.225
Y Mg Pb
6 2 6
Cartesian
-1.278 2.879 1.556
-1.534 7.750 1.556
1.855 2.547 4.669
2.812 5.536 1.556
6.200 0.333 4.669
5.945 5.203 4.669
0.000 5.388 4.669
4.666 2.694 1.556
-1.302 2.786 4.669
-1.602 7.817 4.669
1.762 2.521 1.556
2.905 5.562 4.669
6.269 0.265 1.556
5.968 5.296 1.556
```

=====

# 3
Theoretical powder diffractogram
Compound: Al8Ir2Au
Radiation: Cu Ka
Structure: a structure optimized by DFT (PBE)

Principal peaks in the range 5 to 70 degrees two-theta, in order of rising 2θ:
- d 3.532, rel. 53
- d 3.507, rel. 57
- d 3.462, rel. 100
- d 3.352, rel. 43
- d 3.333, rel. 43
- d 2.588, rel. 30
- d 2.400, rel. 35
- d 2.328, rel. 31
- d 2.051, rel. 50
- d 2.046, rel. 21
- d 1.974, rel. 32
- d 1.945, rel. 44

Crystal structure
```
Al8Ir2Au
1.0
4.801 0.000 0.000
-0.037 5.176 0.000
-2.341 -2.564 6.985
Al Ir Au
8 2 1
Cartesian
0.001 0.006 1.450
-1.161 -0.192 6.977
0.001 1.278 4.435
0.051 -1.248 4.426
2.371 3.861 2.559
2.422 1.334 2.550
3.583 2.805 0.008
2.421 2.606 5.535
-0.003 2.596 2.239
2.426 0.016 4.746
2.400 0.000 0.000
```

=====

# 4
Theoretical powder diffractogram
Compound: Sr6Pt
Radiation: Cu Ka
Structure: a structure optimized by DFT (PBE)

Principal peaks in the range 5 to 70 degrees two-theta, in order of rising 2θ:
- d 6.570, rel. 17
- d 6.447, rel. 31
- d 6.181, rel. 38
- d 5.855, rel. 24
- d 3.521, rel. 15
- d 3.289, rel. 100
- d 2.915, rel. 56
- d 2.557, rel. 17
- d 2.246, rel. 26
- d 2.147, rel. 50
- d 1.985, rel. 25
- d 1.361, rel. 16

Crystal structure
```
Sr6Pt
1.0
14.084 0.000 0.000
0.000 12.903 0.000
0.000 0.000 7.428
Sr Pt
24 4
Cartesian
0.006 3.226 1.794
14.078 9.677 5.634
0.053 1.106 5.571
0.053 5.346 5.571
3.471 1.120 0.612
3.471 5.332 0.612
3.507 3.226 4.398
3.535 9.677 0.684
3.571 7.572 4.326
3.571 11.783 4.326
6.989 7.557 1.857
6.989 11.797 1.857
7.048 3.226 1.920
7.036 9.677 5.508
7.095 1.106 5.571
7.095 5.346 5.571
10.513 1.120 3.102
10.513 5.332 3.102
10.549 3.226 6.744
10.577 9.677 3.030
10.613 7.572 6.816
10.613 11.783 6.816
14.031 7.557 1.857
14.031 11.797 1.857
1.746 3.226 6.808
5.296 9.677 3.094
8.788 3.226 4.335
12.338 9.677 0.620
```

=====

# 5
Theoretical powder diffractogram
Compound: Sr11C2N10
Radiation: Cu Ka
Structure: a structure optimized by DFT (PBE)

Principal peaks in the range 5 to 70 degrees two-theta, in order of rising 2θ:
- d 3.169, rel. 51
- d 3.043, rel. 77
- d 2.882, rel. 100
- d 2.743, rel. 38
- d 2.662, rel. 32
- d 2.424, rel. 22
- d 1.941, rel. 22
- d 1.910, rel. 39
- d 1.868, rel. 14
- d 1.645, rel. 12
- d 1.636, rel. 34
- d 1.584, rel. 20

Crystal structure
```
Sr11C2N10
1.0
15.514 0.000 0.000
0.000 15.514 0.000
0.000 0.000 3.883
Sr C N
22 4 20
Cartesian
0.000 0.000 0.000
0.314 3.183 1.941
1.715 9.586 1.941
1.828 6.042 0.000
2.654 12.860 0.000
3.183 0.314 1.941
4.574 8.071 0.000
5.103 5.103 1.941
5.929 13.799 1.941
6.042 1.828 0.000
7.443 10.941 0.000
7.757 7.757 1.941
8.071 4.574 0.000
9.472 13.686 0.000
9.586 1.715 1.941
10.411 10.411 1.941
10.941 7.443 0.000
12.331 15.200 1.941
12.860 2.654 0.000
13.686 9.472 0.000
13.799 5.929 1.941
15.200 12.331 1.941
2.819 2.819 0.000
4.938 10.576 1.941
10.576 4.938 1.941
12.695 12.695 0.000
0.501 10.701 0.000
1.416 14.098 1.941
1.937 1.937 0.000
2.944 7.256 1.941
3.695 3.695 0.000
4.062 11.453 1.941
4.813 15.013 0.000
5.820 9.694 1.941
6.341 6.341 0.000
7.256 2.944 1.941
8.258 12.570 1.941
9.173 9.173 0.000
9.694 5.820 1.941
10.701 0.501 0.000
11.453 4.062 1.941
11.819 11.819 0.000
12.570 8.258 1.941
13.578 13.578 0.000
14.098 1.416 1.941
15.013 4.813 0.000
```

=====

# 6
Theoretical powder diffractogram
Compound: InSb5
Radiation: Cu Ka
Structure: a structure optimized by DFT (PBE)

Principal peaks in the range 5 to 70 degrees two-theta, in order of rising 2θ:
- d 3.301, rel. 1
- d 2.786, rel. 29
- d 2.732, rel. 26
- d 2.658, rel. 100
- d 1.951, rel. 19
- d 1.815, rel. 8
- d 1.583, rel. 20
- d 1.563, rel. 18
- d 1.521, rel. 9
- d 1.512, rel. 8
- d 1.393, rel. 3
- d 1.366, rel. 3

Crystal structure
```
InSb5
1.0
1.815 -8.196 0.000
1.815 8.196 0.000
0.000 0.000 5.572
In Sb
1 5
Cartesian
0.000 0.000 0.000
1.815 5.508 2.786
1.815 2.874 0.000
1.815 0.000 2.786
1.815 -2.874 0.000
1.815 -5.508 2.786
```